# 1
Sm5DyEr: computed PXRD pattern (Cu Kα, 1.54184 Å), based on a DFT-relaxed cell (PBE, Alexandria).
Lines closer than 0.1° are merged.

The 12 most intense peaks (2θ from 10° to 90°), low angle first:
- 2θ 23.2, 3.842 Å, I = 10
- 2θ 30.3, 2.948 Å, I = 19
- 2θ 31.4, 2.848 Å, I = 16
- 2θ 31.9, 2.806 Å, I = 51
- 2θ 32.0, 2.796 Å, I = 100
- 2θ 33.5, 2.679 Å, I = 11
- 2θ 34.5, 2.602 Å, I = 20
- 2θ 43.8, 2.067 Å, I = 9
- 2θ 47.8, 1.905 Å, I = 14
- 2θ 56.9, 1.618 Å, I = 11
- 2θ 57.1, 1.612 Å, I = 13
- 2θ 66.9, 1.398 Å, I = 9

Atomic structure:
Cell: 6.263 6.263 6.937 Å, 99.38 99.38 112.40°
Fractional positions:
Sm 0.000 0.000 0.000
Sm 0.026 0.596 0.269
Sm 0.404 0.974 0.731
Sm 0.596 0.026 0.269
Sm 0.974 0.404 0.731
Dy 0.500 0.500 0.500
Er 0.500 0.500 0.000


# 2
Sm4Dy10Er: computed PXRD pattern (Cu Kα, 1.54184 Å), based on a DFT-relaxed cell (PBE, Alexandria).
Lines closer than 0.1° are merged.

The 12 most intense peaks (2θ from 10° to 90°), low angle first:
- 2θ 20.0, 4.448 Å, I = 24
- 2θ 23.1, 3.852 Å, I = 15
- 2θ 32.9, 2.724 Å, I = 100
- 2θ 38.8, 2.323 Å, I = 13
- 2θ 40.6, 2.224 Å, I = 5
- 2θ 47.2, 1.926 Å, I = 18
- 2θ 51.7, 1.768 Å, I = 6
- 2θ 53.2, 1.723 Å, I = 6
- 2θ 58.7, 1.573 Å, I = 38
- 2θ 62.7, 1.483 Å, I = 4
- 2θ 68.9, 1.362 Å, I = 12
- 2θ 78.5, 1.218 Å, I = 16

Atomic structure:
Cell: 9.437 9.437 9.437 Å, 99.59 99.59 131.81°
Fractional positions:
Sm 0.101 0.701 0.802
Sm 0.299 0.101 0.400
Sm 0.701 0.899 0.600
Sm 0.899 0.299 0.198
Dy 0.052 0.350 0.900
Dy 0.153 0.052 0.702
Dy 0.250 0.750 0.500
Dy 0.350 0.451 0.298
Dy 0.451 0.153 0.100
Dy 0.549 0.847 0.900
Dy 0.650 0.549 0.702
Dy 0.750 0.250 0.500
Dy 0.847 0.948 0.298
Dy 0.948 0.650 0.100
Er 0.500 0.500 0.000


# 3
Sm10DyEr4: computed PXRD pattern (Cu Kα, 1.54184 Å), based on a DFT-relaxed cell (PBE, Alexandria).
Lines closer than 0.1° are merged.

The 12 most intense peaks (2θ from 10° to 90°), low angle first:
- 2θ 19.9, 4.465 Å, I = 29
- 2θ 23.0, 3.867 Å, I = 11
- 2θ 32.8, 2.734 Å, I = 100
- 2θ 38.6, 2.332 Å, I = 16
- 2θ 47.0, 1.935 Å, I = 12
- 2θ 47.1, 1.930 Å, I = 6
- 2θ 51.5, 1.774 Å, I = 7
- 2θ 58.5, 1.579 Å, I = 38
- 2θ 68.7, 1.367 Å, I = 12
- 2θ 78.1, 1.224 Å, I = 11
- 2θ 78.3, 1.221 Å, I = 5
- 2θ 87.4, 1.116 Å, I = 4

Atomic structure:
Cell: 9.475 9.475 9.475 Å, 99.56 99.56 131.91°
Fractional positions:
Sm 0.050 0.151 0.700
Sm 0.151 0.451 0.101
Sm 0.250 0.750 0.500
Sm 0.350 0.050 0.899
Sm 0.451 0.350 0.300
Sm 0.549 0.650 0.700
Sm 0.650 0.950 0.101
Sm 0.750 0.250 0.500
Sm 0.849 0.549 0.899
Sm 0.950 0.849 0.300
Dy 0.000 0.000 0.000
Er 0.200 0.600 0.801
Er 0.400 0.200 0.600
Er 0.600 0.800 0.400
Er 0.800 0.400 0.199


# 4
Sm2Dy3Er7: computed PXRD pattern (Cu Kα, 1.54184 Å), based on a DFT-relaxed cell (PBE, Alexandria).
Lines closer than 0.1° are merged.

The 12 most intense peaks (2θ from 10° to 90°), low angle first:
- 2θ 30.0, 2.978 Å, I = 33
- 2θ 31.1, 2.874 Å, I = 100
- 2θ 31.6, 2.829 Å, I = 57
- 2θ 34.1, 2.629 Å, I = 36
- 2θ 35.1, 2.553 Å, I = 44
- 2θ 38.4, 2.346 Å, I = 15
- 2θ 50.8, 1.797 Å, I = 20
- 2θ 52.3, 1.748 Å, I = 13
- 2θ 53.4, 1.717 Å, I = 22
- 2θ 61.1, 1.516 Å, I = 13
- 2θ 62.1, 1.494 Å, I = 13
- 2θ 62.2, 1.493 Å, I = 15

Atomic structure:
Cell: 6.288 3.495 17.325 Å, 90.00 96.18 90.00°
Fractional positions:
Sm 0.060 0.000 0.174
Sm 0.940 0.000 0.826
Dy 0.451 0.500 0.842
Dy 0.500 0.000 0.500
Dy 0.549 0.500 0.158
Er 0.000 0.500 0.500
Er 0.227 0.000 0.666
Er 0.255 0.000 0.999
Er 0.275 0.500 0.336
Er 0.725 0.500 0.664
Er 0.745 0.000 0.001
Er 0.773 0.000 0.334